Starting from a GGA-PBE-relaxed structure, the powder diffractogram of Tl3Br was simulated for Cu Kα.
Neutral-atom scattering factors, no anomalous dispersion.

Atomic structure:
Unit cell a=4.773 b=4.773 c=11.644 alpha=90.00 beta=90.00 gamma=90.00
Fractional coordinates of all 8 atoms:
Tl: 0.000 0.000 0.000
Tl: 0.000 0.500 0.250
Tl: 0.000 0.500 0.750
Tl: 0.500 0.000 0.250
Tl: 0.500 0.000 0.750
Tl: 0.500 0.500 0.500
Br: 0.000 0.000 0.500
Br: 0.500 0.500 0.000

Most intense lines, 10 to 90 degrees two-theta, in order of rising 2θ:
2θ 30.6, intensity 100
2θ 37.7, intensity 23
2θ 49.4, intensity 22
2θ 54.5, intensity 16
2θ 63.7, intensity 30
2θ 80.6, intensity 11

Starting from a GGA-PBE-relaxed structure, the powder diffractogram of Tl3Br was simulated for Cu Kα.
Neutral-atom scattering factors, no anomalous dispersion.

Atomic structure:
Unit cell a=6.979 b=6.979 c=6.270 alpha=90.00 beta=90.00 gamma=120.00
Fractional coordinates of all 8 atoms:
Tl: 0.167 0.335 0.250
Tl: 0.167 0.833 0.250
Tl: 0.335 0.167 0.750
Tl: 0.665 0.833 0.250
Tl: 0.833 0.167 0.750
Tl: 0.833 0.665 0.750
Br: 0.333 0.667 0.750
Br: 0.667 0.333 0.250

Most intense lines, 10 to 90 degrees two-theta, in order of rising 2θ:
2θ 28.5, intensity 32
2θ 29.6, intensity 22
2θ 32.9, intensity 100
2θ 52.4, intensity 18
2θ 53.3, intensity 26
2θ 60.8, intensity 23

Starting from a GGA-PBE-relaxed structure, the powder diffractogram of TlBr3 was simulated for Cu Kα.
Neutral-atom scattering factors, no anomalous dispersion.

Atomic structure:
Unit cell a=13.827 b=10.925 c=6.816 alpha=90.00 beta=90.00 gamma=90.00
Fractional coordinates of all 16 atoms:
Tl: 0.248 0.250 0.168
Tl: 0.252 0.750 0.668
Tl: 0.748 0.250 0.332
Tl: 0.752 0.750 0.832
Br: 0.083 0.250 0.331
Br: 0.162 0.555 0.576
Br: 0.162 0.945 0.576
Br: 0.338 0.055 0.076
Br: 0.338 0.445 0.076
Br: 0.417 0.750 0.831
Br: 0.583 0.250 0.169
Br: 0.662 0.555 0.924
Br: 0.662 0.945 0.924
Br: 0.838 0.055 0.424
Br: 0.838 0.445 0.424
Br: 0.917 0.750 0.669

Most intense lines, 10 to 90 degrees two-theta, in order of rising 2θ:
2θ 12.8, intensity 54
2θ 15.3, intensity 100
2θ 16.6, intensity 32
2θ 20.0, intensity 32
2θ 26.9, intensity 23
2θ 27.7, intensity 24

Starting from a GGA-PBE-relaxed structure, the powder diffractogram of UBr3 was simulated for Cu Kα.
Neutral-atom scattering factors, no anomalous dispersion.

Atomic structure:
Unit cell a=8.044 b=8.044 c=4.410 alpha=90.00 beta=90.00 gamma=120.00
Fractional coordinates of all 8 atoms:
U: 0.333 0.667 0.250
U: 0.667 0.333 0.750
Br: 0.086 0.388 0.750
Br: 0.302 0.914 0.750
Br: 0.388 0.302 0.250
Br: 0.612 0.698 0.750
Br: 0.698 0.086 0.250
Br: 0.914 0.612 0.250

Most intense lines, 10 to 90 degrees two-theta, in order of rising 2θ:
2θ 12.7, intensity 89
2θ 23.9, intensity 40
2θ 30.1, intensity 41
2θ 32.8, intensity 100
2θ 38.8, intensity 39
2θ 39.9, intensity 75

Starting from a GGA-PBE-relaxed structure, the powder diffractogram of VBr3 was simulated for Cu Kα.
Neutral-atom scattering factors, no anomalous dispersion.

Atomic structure:
Unit cell a=9.943 b=9.943 c=3.363 alpha=90.00 beta=90.00 gamma=120.00
Fractional coordinates of all 8 atoms:
V: 0.333 0.667 0.250
V: 0.667 0.333 0.750
Br: 0.221 0.442 0.750
Br: 0.221 0.779 0.750
Br: 0.442 0.221 0.250
Br: 0.558 0.779 0.750
Br: 0.779 0.221 0.250
Br: 0.779 0.558 0.250

Most intense lines, 10 to 90 degrees two-theta, in order of rising 2θ:
2θ 10.3, intensity 100
2θ 20.6, intensity 54
2θ 27.4, intensity 51
2θ 33.8, intensity 53
2θ 41.4, intensity 56
2θ 46.6, intensity 37

Starting from a GGA-PBE-relaxed structure, the powder diffractogram of WBr2 was simulated for Cu Kα.
Neutral-atom scattering factors, no anomalous dispersion.

Atomic structure:
Unit cell a=10.047 b=10.047 c=12.122 alpha=90.00 beta=90.00 gamma=74.18
Fractional coordinates of all 36 atoms:
W: 0.070 0.930 0.862
W: 0.117 0.117 0.000
W: 0.138 0.862 0.070
W: 0.362 0.638 0.570
W: 0.383 0.383 0.500
W: 0.430 0.570 0.362
W: 0.570 0.430 0.638
W: 0.617 0.617 0.500
W: 0.638 0.362 0.430
W: 0.862 0.138 0.930
W: 0.883 0.883 0.000
W: 0.930 0.070 0.138
Br: 0.047 0.185 0.792
Br: 0.092 0.675 0.931
Br: 0.156 0.844 0.656
Br: 0.175 0.592 0.431
Br: 0.185 0.047 0.208
Br: 0.222 0.222 0.500
Br: 0.278 0.278 0.000
Br: 0.315 0.453 0.708
Br: 0.325 0.908 0.931
Br: 0.344 0.656 0.156
Br: 0.408 0.825 0.431
Br: 0.453 0.315 0.292
Br: 0.547 0.685 0.708
Br: 0.592 0.175 0.569
Br: 0.656 0.344 0.844
Br: 0.675 0.092 0.069
Br: 0.685 0.547 0.292
Br: 0.722 0.722 0.000
Br: 0.778 0.778 0.500
Br: 0.815 0.953 0.792
Br: 0.825 0.408 0.569
Br: 0.844 0.156 0.344
Br: 0.908 0.325 0.069
Br: 0.953 0.815 0.208

Most intense lines, 10 to 90 degrees two-theta, in order of rising 2θ:
2θ 11.0, intensity 38
2θ 11.7, intensity 100
2θ 14.6, intensity 19
2θ 41.6, intensity 9
2θ 45.3, intensity 10
2θ 47.6, intensity 10